1.
For EuTlMo2O8, a PBE+U-relaxed structure gives the theoretical X-ray powder pattern in this record (copper Kα).

Largest 10 diffraction maxima, by angle, 2θ = 10–90°:
- 2θ = 20.4°, I = 54, (1 1 1)
- 2θ = 21.9°, I = 23, (1 3 0)
- 2θ = 24.3°, I = 56, (1 3 1)
- 2θ = 27.4°, I = 100, (1 1 2)
- 2θ = 28.1°, I = 85, (0 4 2)
- 2θ = 28.9°, I = 73, (1 5 0)
- 2θ = 34.1°, I = 25, (2 0 0)
- 2θ = 44.8°, I = 62, (2 4 2)
- 2θ = 51.2°, I = 38, (1 9 2)
- 2θ = 52.3°, I = 25, (1 5 4)

Cell and atoms:
Unit cell a=5.2645 b=19.0700 c=8.4848 alpha=90.00 beta=90.00 gamma=90.00
Space group Pbcn (No. 60)
Asymmetric unit:
Eu 0.0000 0.0067 0.2500 (multiplicity 4)
Tl 0.0000 0.2305 0.7500 (multiplicity 4)
Mo 0.0213 0.3991 0.0170 (multiplicity 8)
O 0.1001 0.3131 0.4767 (multiplicity 8)
O 0.2239 0.4032 0.8478 (multiplicity 8)
O 0.2343 0.4104 0.1849 (multiplicity 8)
O 0.2442 0.4614 0.5041 (multiplicity 8)



2.
For EuTlMo2O8, a PBE+U-relaxed structure gives the theoretical X-ray powder pattern in this record (copper Kα).

Largest 10 diffraction maxima, by angle, 2θ = 10–90°:
- 2θ = 27.1°, I = 100, (1 1 2)
- 2θ = 28.0°, I = 38, (2 0 0)
- 2θ = 40.0°, I = 16, (2 2 0)
- 2θ = 47.3°, I = 24, (2 0 4)
- 2θ = 49.0°, I = 37, (3 1 2)
- 2θ = 55.9°, I = 14, (2 2 4)
- 2θ = 61.3°, I = 10, (1 1 6)
- 2θ = 65.5°, I = 9, (4 2 0)
- 2θ = 75.7°, I = 11, (3 1 6)
- 2θ = 79.2°, I = 10, (5 1 2)

Cell and atoms:
Unit cell a=6.3694 b=6.3694 c=9.6380 alpha=90.00 beta=90.00 gamma=90.00
Space group P4/nnc (No. 126, origin choice 2)
Asymmetric unit:
Eu 0.2500 0.2500 0.2500 (multiplicity 2)
Tl 0.2500 0.2500 0.7500 (multiplicity 2)
Mo 0.2500 0.7500 0.0000 (multiplicity 4)
O 0.0511 0.6408 0.6114 (multiplicity 16)



3.
For Eu2Mo2WO12, a PBE+U-relaxed structure gives the theoretical X-ray powder pattern in this record (copper Kα).

Largest 10 diffraction maxima, by angle, 2θ = 10–90°:
- 2θ = 14.1°, I = 46, (1 1 0)
- 2θ = 24.2°, I = 19, (1 1 2)
- 2θ = 24.3°, I = 22, (1 1 -3)
- 2θ = 27.3°, I = 100, (2 2 -1)
- 2θ = 28.5°, I = 80, (0 2 3)
- 2θ = 30.7°, I = 26, (0 4 0)
- 2θ = 33.1°, I = 18, (2 0 2)
- 2θ = 45.7°, I = 26, (2 4 2)
- 2θ = 45.9°, I = 23, (2 4 -4)
- 2θ = 52.5°, I = 21, (2 6 -1)

Cell and atoms:
Unit cell a=7.8912 b=11.6630 c=11.7730 alpha=90.00 beta=109.27 gamma=90.00
Space group C2/c (No. 15)
Asymmetric unit:
Eu 0.1751 0.1284 0.0924 (multiplicity 8)
Mo 0.1646 0.3610 0.5527 (multiplicity 8)
W 0.0000 0.1205 0.7500 (multiplicity 4)
O 0.0046 0.0411 0.8861 (multiplicity 8)
O 0.0615 0.3002 0.9612 (multiplicity 8)
O 0.1153 0.2145 0.4162 (multiplicity 8)
O 0.1547 0.4653 0.4424 (multiplicity 8)
O 0.1937 0.2122 0.7869 (multiplicity 8)
O 0.2170 0.4372 0.6923 (multiplicity 8)



4.
For Eu2MoW2O12, a PBE+U-relaxed structure gives the theoretical X-ray powder pattern in this record (copper Kα).

Largest 10 diffraction maxima, by angle, 2θ = 10–90°:
- 2θ = 16.2°, I = 34, (0 0 2)
- 2θ = 17.1°, I = 16, (0 2 1)
- 2θ = 27.1°, I = 100, (2 2 -1)
- 2θ = 28.8°, I = 66, (0 2 3)
- 2θ = 30.4°, I = 26, (0 4 0)
- 2θ = 33.1°, I = 15, (2 0 2)
- 2θ = 33.5°, I = 14, (2 0 -4)
- 2θ = 45.6°, I = 35, (4 0 -2)
- 2θ = 45.9°, I = 19, (2 4 -4)
- 2θ = 52.1°, I = 14, (2 6 -1)

Cell and atoms:
Unit cell a=7.9538 b=11.7499 c=11.6293 alpha=90.00 beta=109.40 gamma=90.00
Space group C2/c (No. 15)
Asymmetric unit:
Eu 0.1813 0.1256 0.0949 (multiplicity 8)
Mo 0.0000 0.1202 0.7500 (multiplicity 4)
W 0.1527 0.3540 0.5461 (multiplicity 8)
O 0.0156 0.0395 0.8873 (multiplicity 8)
O 0.0741 0.2990 0.9618 (multiplicity 8)
O 0.1137 0.2128 0.4254 (multiplicity 8)
O 0.1384 0.4659 0.4393 (multiplicity 8)
O 0.1928 0.2077 0.7787 (multiplicity 8)
O 0.2165 0.4239 0.6948 (multiplicity 8)



5.
For NaEuNi4O12, a PBE+U-relaxed structure gives the theoretical X-ray powder pattern in this record (copper Kα).

Largest 10 diffraction maxima, by angle, 2θ = 10–90°:
- 2θ = 11.5°, I = 42, (1 0 0)
- 2θ = 17.1°, I = 41, (0 1 1)
- 2θ = 20.7°, I = 100, (1 1 1)
- 2θ = 33.1°, I = 55, (2 0 2)
- 2θ = 34.4°, I = 64, (2 2 0)
- 2θ = 34.7°, I = 64, (0 2 2)
- 2θ = 47.1°, I = 28, (4 0 0)
- 2θ = 59.8°, I = 31, (4 2 2)
- 2θ = 60.4°, I = 26, (2 2 4)
- 2θ = 62.8°, I = 30, (2 4 2)

Cell and atoms:
Unit cell a=7.7170 b=7.0770 c=7.5788 alpha=90.00 beta=90.00 gamma=90.00
Space group Amm2 (No. 38)
Asymmetric unit:
Na 0.0000 0.0000 0.0000 (multiplicity 2)
Eu 0.5000 0.0000 0.4617 (multiplicity 2)
Ni 0.2438 0.2488 0.7326 (multiplicity 8)
O 0.0000 0.2016 0.2278 (multiplicity 4)
O 0.1944 0.0000 0.7890 (multiplicity 4)
O 0.2565 0.1892 0.4820 (multiplicity 8)
O 0.3115 0.0000 0.1876 (multiplicity 4)
O 0.5000 0.1939 0.7288 (multiplicity 4)



6.
For NaPrEuNiO6, a PBE+U-relaxed structure gives the theoretical X-ray powder pattern in this record (copper Kα).

Largest 10 diffraction maxima, by angle, 2θ = 10–90°:
- 2θ = 18.5°, I = 24, (0 0 2)
- 2θ = 24.0°, I = 43, (1 1 0)
- 2θ = 30.5°, I = 100, (1 1 2)
- 2θ = 34.2°, I = 73, (2 0 0)
- 2θ = 37.5°, I = 35, (0 0 4)
- 2θ = 39.2°, I = 26, (2 0 2)
- 2θ = 49.2°, I = 24, (2 2 0)
- 2θ = 51.7°, I = 43, (2 0 4)
- 2θ = 59.0°, I = 44, (3 1 2)
- 2θ = 84.2°, I = 24, (3 1 6)

Cell and atoms:
Unit cell a=5.2386 b=5.2386 c=9.5945 alpha=90.00 beta=90.00 gamma=90.00
Space group P-4n2 (No. 118)
Asymmetric unit:
Na 0.0000 0.0000 0.0000 (multiplicity 2)
Pr 0.0000 0.5000 0.7500 (multiplicity 2)
Eu 0.0000 0.5000 0.2500 (multiplicity 2)
Ni 0.0000 0.0000 0.5000 (multiplicity 2)
O 0.0000 0.0000 0.2640 (multiplicity 4)
O 0.0896 0.3805 0.5016 (multiplicity 8)



7.
For NaPrEuWO6, a PBE+U-relaxed structure gives the theoretical X-ray powder pattern in this record (copper Kα).

Largest 10 diffraction maxima, by angle, 2θ = 10–90°:
- 2θ = 18.0°, I = 19, (1 1 1)
- 2θ = 20.8°, I = 18, (2 0 0)
- 2θ = 29.6°, I = 100, (2 2 0)
- 2θ = 34.8°, I = 10, (3 1 1)
- 2θ = 42.3°, I = 30, (4 0 0)
- 2θ = 47.6°, I = 7, (4 2 0)
- 2θ = 52.5°, I = 41, (4 2 2)
- 2θ = 61.4°, I = 19, (4 4 0)
- 2θ = 69.6°, I = 19, (6 2 0)
- 2θ = 85.0°, I = 22, (6 4 2)

Cell and atoms:
Unit cell a=8.5413 b=8.5413 c=8.5413 alpha=90.00 beta=90.00 gamma=90.00
Space group F-43m (No. 216)
Asymmetric unit:
Na 0.0000 0.0000 0.0000 (multiplicity 4)
Pr 0.2500 0.2500 0.2500 (multiplicity 4)
Eu 0.0000 0.0000 0.5000 (multiplicity 4)
W 0.2500 0.2500 0.7500 (multiplicity 4)
O 0.0223 0.2500 0.7500 (multiplicity 24)



8.
For NaPrEuWO6, a PBE+U-relaxed structure gives the theoretical X-ray powder pattern in this record (copper Kα).

Largest 10 diffraction maxima, by angle, 2θ = 10–90°:
- 2θ = 14.9°, I = 13, (1 1 0)
- 2θ = 21.1°, I = 11, (0 0 2)
- 2θ = 30.1°, I = 100, (2 2 0)
- 2θ = 42.9°, I = 9, (0 0 4)
- 2θ = 43.1°, I = 17, (4 0 0)
- 2θ = 53.3°, I = 15, (2 2 4)
- 2θ = 53.4°, I = 30, (2 4 2)
- 2θ = 62.4°, I = 10, (4 0 4)
- 2θ = 71.0°, I = 9, (2 6 0)
- 2θ = 86.5°, I = 8, (4 2 6)

Cell and atoms:
Unit cell a=8.3917 b=8.4026 c=8.4334 alpha=90.00 beta=90.00 gamma=90.00
Space group Pnnn (No. 48, origin choice 2)
Asymmetric unit:
Na 0.2500 0.2500 0.2500 (multiplicity 2)
Na 0.2500 0.2500 0.7500 (multiplicity 2)
Pr 0.0000 0.0000 0.0000 (multiplicity 4)
Eu 0.2500 0.7500 0.2500 (multiplicity 2)
Eu 0.2500 0.7500 0.7500 (multiplicity 2)
W 0.0000 0.0000 0.5000 (multiplicity 4)
O 0.0356 0.2243 0.4476 (multiplicity 8)
O 0.0489 0.0410 0.7251 (multiplicity 8)
O 0.2264 0.5543 0.0375 (multiplicity 8)



9.
For NaTbEuWO6, a PBE+U-relaxed structure gives the theoretical X-ray powder pattern in this record (copper Kα).

Largest 10 diffraction maxima, by angle, 2θ = 10–90°:
- 2θ = 18.4°, I = 17, (1 1 1)
- 2θ = 21.3°, I = 20, (2 0 0)
- 2θ = 30.3°, I = 100, (2 2 0)
- 2θ = 35.7°, I = 9, (3 1 1)
- 2θ = 43.4°, I = 30, (4 0 0)
- 2θ = 48.8°, I = 8, (4 2 0)
- 2θ = 53.8°, I = 41, (4 2 2)
- 2θ = 63.0°, I = 18, (4 4 0)
- 2θ = 71.5°, I = 18, (6 2 0)
- 2θ = 87.5°, I = 22, (6 4 2)

Cell and atoms:
Unit cell a=8.3451 b=8.3451 c=8.3451 alpha=90.00 beta=90.00 gamma=90.00
Space group F-43m (No. 216)
Asymmetric unit:
Na 0.0000 0.0000 0.0000 (multiplicity 4)
Tb 0.2500 0.2500 0.2500 (multiplicity 4)
Eu 0.0000 0.0000 0.5000 (multiplicity 4)
W 0.2500 0.2500 0.7500 (multiplicity 4)
O 0.0166 0.2500 0.7500 (multiplicity 24)



10.
For NaEuW2O6, a PBE+U-relaxed structure gives the theoretical X-ray powder pattern in this record (copper Kα).

Largest 10 diffraction maxima, by angle, 2θ = 10–90°:
- 2θ = 19.1°, I = 14, (1 1 1)
- 2θ = 22.1°, I = 23, (2 0 0)
- 2θ = 31.4°, I = 100, (2 2 0)
- 2θ = 37.0°, I = 8, (3 1 1)
- 2θ = 45.0°, I = 29, (4 0 0)
- 2θ = 50.7°, I = 10, (4 2 0)
- 2θ = 56.0°, I = 40, (4 2 2)
- 2θ = 65.6°, I = 18, (4 4 0)
- 2θ = 74.5°, I = 18, (6 2 0)
- 2θ = 83.1°, I = 6, (4 4 4)

Cell and atoms:
Unit cell a=8.0507 b=8.0507 c=8.0507 alpha=90.00 beta=90.00 gamma=90.00
Space group Fm-3m (No. 225)
Asymmetric unit:
Na 0.0000 0.0000 0.0000 (multiplicity 4)
Eu 0.0000 0.0000 0.5000 (multiplicity 4)
W 0.2500 0.2500 0.2500 (multiplicity 8)
O 0.0000 0.2500 0.2500 (multiplicity 24)



What did the seventh record say?
For NaPrEuWO6, a PBE+U-relaxed structure gives the theoretical X-ray powder pattern in this record (copper Kα).

Largest 10 diffraction maxima, by angle, 2θ = 10–90°:
- 2θ = 18.0°, I = 19, (1 1 1)
- 2θ = 20.8°, I = 18, (2 0 0)
- 2θ = 29.6°, I = 100, (2 2 0)
- 2θ = 34.8°, I = 10, (3 1 1)
- 2θ = 42.3°, I = 30, (4 0 0)
- 2θ = 47.6°, I = 7, (4 2 0)
- 2θ = 52.5°, I = 41, (4 2 2)
- 2θ = 61.4°, I = 19, (4 4 0)
- 2θ = 69.6°, I = 19, (6 2 0)
- 2θ = 85.0°, I = 22, (6 4 2)

Cell and atoms:
Unit cell a=8.5413 b=8.5413 c=8.5413 alpha=90.00 beta=90.00 gamma=90.00
Space group F-43m (No. 216)
Asymmetric unit:
Na 0.0000 0.0000 0.0000 (multiplicity 4)
Pr 0.2500 0.2500 0.2500 (multiplicity 4)
Eu 0.0000 0.0000 0.5000 (multiplicity 4)
W 0.2500 0.2500 0.7500 (multiplicity 4)
O 0.0223 0.2500 0.7500 (multiplicity 24)